[1]
The following is a theoretical XRD peak list of PrGaAg2Pd2. It was derived from a PBE-relaxed structure, using Cu Kα (λ = 1.5418 Å).
Intensities are scaled so that the largest is 100.

Main lines, low angle first (10° ≤ 2θ ≤ 80°):
Position (°2θ), I (rel.)
17.4, 29.6
23.6, 24.7
29.5, 34.9
33.7, 100.0
35.2, 41.0
48.4, 35.3
49.5, 60.8
61.2, 31.5

Atomic structure:
a b c (Å): 6.3374 6.3374 6.3374
angles (deg): 130.36 130.36 72.83
Element x y z (fractional)
Pr  0.0000  0.0000  0.0000
Ga  0.5000  0.5000  0.0000
Ag  0.2500  0.7500  0.5000
Ag  0.7500  0.2500  0.5000
Pd  0.2696  0.2696  0.0000
Pd  0.7304  0.7304  0.0000

=====

[2]
The following is a theoretical XRD peak list of NbCr3Cu2S8. It was derived from a PBE-relaxed structure, using Cu Kα (λ = 1.5418 Å).
Intensities are scaled so that the largest is 100.

Main lines, low angle first (10° ≤ 2θ ≤ 80°):
Position (°2θ), I (rel.)
10.0, 50.2
14.3, 36.6
15.8, 100.0
16.0, 37.6
30.5, 61.2
34.0, 44.9
44.0, 37.1
47.2, 37.7

Atomic structure:
a b c (Å): 3.4393 12.5498 12.3525
angles (deg): 90.00 90.00 90.00
Element x y z (fractional)
Nb  0.0000  0.0877  0.0000
Nb  0.5000  0.9123  0.5000
Cr  0.0000  0.2570  0.5053
Cr  0.0000  0.5749  0.8402
Cr  0.0000  0.7460  0.3279
Cr  0.5000  0.2540  0.8279
Cr  0.5000  0.4251  0.3402
Cr  0.5000  0.7430  0.0053
Cu  0.0000  0.4071  0.6714
Cu  0.0000  0.9401  0.8147
Cu  0.5000  0.0599  0.3147
Cu  0.5000  0.5929  0.1714
S  0.0000  0.2233  0.6996
S  0.0000  0.2742  0.9662
S  0.0000  0.3015  0.3168
S  0.0000  0.5541  0.3000
S  0.0000  0.6017  0.0246
S  0.0000  0.8702  0.9833
S  0.0000  0.9171  0.6379
S  0.0000  0.9351  0.3508
S  0.5000  0.0649  0.8508
S  0.5000  0.0829  0.1379
S  0.5000  0.1298  0.4833
S  0.5000  0.3983  0.5246
S  0.5000  0.4459  0.8000
S  0.5000  0.6985  0.8168
S  0.5000  0.7258  0.4662
S  0.5000  0.7767  0.1996

=====

[3]
The following is a theoretical XRD peak list of Zn2GePb. It was derived from a PBE-relaxed structure, using Cu Kα (λ = 1.5418 Å).
Intensities are scaled so that the largest is 100.

Main lines, low angle first (10° ≤ 2θ ≤ 80°):
Position (°2θ), I (rel.)
24.8, 28.7
26.5, 22.0
32.4, 100.0
36.3, 26.2
42.7, 54.6
50.2, 19.2
54.6, 22.8
71.6, 20.1

Atomic structure:
a b c (Å): 6.0952 6.0952 6.0952
angles (deg): 40.71 40.71 40.71
Element x y z (fractional)
Zn  0.2239  0.2239  0.2239
Zn  0.7761  0.7761  0.7761
Ge  0.5000  0.5000  0.5000
Pb  0.0000  0.0000  0.0000

=====

[4]
The following is a theoretical XRD peak list of Rb2U3Te2O14. It was derived from a PBE-relaxed structure, using Cu Kα (λ = 1.5418 Å).
Intensities are scaled so that the largest is 100.

Main lines, low angle first (10° ≤ 2θ ≤ 80°):
Position (°2θ), I (rel.)
13.9, 100.0
23.6, 38.0
24.3, 39.4
26.9, 48.8
27.3, 51.5
27.5, 23.7
29.6, 36.3
31.4, 23.8

Atomic structure:
a b c (Å): 7.0301 7.4240 8.3884
angles (deg): 109.07 101.51 97.53
Element x y z (fractional)
Rb  0.2010  0.3857  0.3365
Rb  0.7990  0.6143  0.6635
U  0.1024  0.1691  0.7378
U  0.5000  0.0000  0.5000
U  0.8976  0.8309  0.2622
Te  0.3389  0.6713  0.0136
Te  0.6611  0.3287  0.9864
O  0.1100  0.3884  0.6745
O  0.1148  0.9663  0.8169
O  0.1315  0.7372  0.1212
O  0.1795  0.0028  0.4751
O  0.3132  0.4137  0.0183
O  0.4652  0.1925  0.7692
O  0.4680  0.7790  0.5573
O  0.5320  0.2210  0.4427
O  0.5348  0.8075  0.2308
O  0.6868  0.5863  0.9817
O  0.8205  0.9972  0.5249
O  0.8685  0.2628  0.8788
O  0.8852  0.0337  0.1831
O  0.8900  0.6116  0.3255